# 1
Starting from a PBE-relaxed structure, the powder diffractogram of NaB2H7 was computed for Cu Kα X-rays.

Principal peaks in the range 2θ = 10–80°, low angle first:
hkl 0 2 0, 2θ = 13.6°, d 6.494, rel. 100
hkl 1 3 0, 2θ = 29.6°, d 3.022, rel. 36
hkl 0 2 1, 2θ = 33.5°, d 2.677, rel. 14
hkl 1 1 1, 2θ = 38.0°, d 2.371, rel. 45
hkl 1 5 0, 2θ = 40.8°, d 2.212, rel. 23
hkl 0 4 1, 2θ = 41.4°, d 2.179, rel. 21
hkl 2 0 0, 2θ = 42.9°, d 2.108, rel. 18
hkl 2 2 0, 2θ = 45.2°, d 2.006, rel. 10
hkl 2 4 1, 2θ = 61.2°, d 1.516, rel. 9
hkl 0 0 2, 2θ = 63.3°, d 1.470, rel. 9

a = 4.2191 Å, b = 12.9882 Å, c = 2.9383 Å
α = 90.00°, β = 90.00°, γ = 90.00°
Space group Cmmm (No. 65)
Symmetry-distinct sites (fractional):
Na (0.0000, 0.0000, 0.0000) x2
B (0.0000, 0.3897, 0.5000) x4
H (0.0000, 0.4093, 0.0000) x4
H (0.0000, 0.5000, 0.5000) x2
H (0.2488, 0.1556, 0.5000) x8

# 2
Starting from a PBE-relaxed structure, the powder diffractogram of NaBH4 was computed for Cu Kα X-rays.

Principal peaks in the range 2θ = 10–80°, low angle first:
hkl 1 1 1, 2θ = 25.7°, d 3.460, rel. 39
hkl 2 0 0, 2θ = 29.4°, d 3.036, rel. 100
hkl 0 0 2, 2θ = 30.6°, d 2.922, rel. 44
hkl 2 2 0, 2θ = 42.1°, d 2.147, rel. 32
hkl 2 0 2, 2θ = 43.0°, d 2.105, rel. 60
hkl 3 1 -1, 2θ = 50.0°, d 1.824, rel. 26
hkl 1 1 3, 2θ = 51.5°, d 1.774, rel. 12
hkl 2 2 2, 2θ = 52.9°, d 1.730, rel. 30
hkl 4 2 0, 2θ = 69.2°, d 1.358, rel. 12
hkl 4 2 2, 2θ = 77.5°, d 1.231, rel. 16

a = 6.0713 Å, b = 6.0716 Å, c = 5.8434 Å
α = 90.00°, β = 90.05°, γ = 90.00°
Space group C2/c (No. 15)
Symmetry-distinct sites (fractional):
Na (0.0000, 0.2499, 0.2500) x4
B (0.0000, 0.2502, 0.7500) x4
H (0.1164, 0.1337, 0.6296) x8
H (0.1169, 0.3675, 0.8703) x8

# 3
Starting from a PBE-relaxed structure, the powder diffractogram of NaBH4 was computed for Cu Kα X-rays.

Principal peaks in the range 2θ = 10–80°, low angle first:
hkl 1 0 0, 2θ = 20.3°, d 4.378, rel. 100
hkl 0 1 0, 2θ = 20.5°, d 4.338, rel. 94
hkl 0 1 1, 2θ = 24.0°, d 3.715, rel. 29
hkl 1 1 0, 2θ = 29.0°, d 3.082, rel. 25
hkl 1 0 -2, 2θ = 29.9°, d 2.988, rel. 33
hkl 0 1 2, 2θ = 32.3°, d 2.769, rel. 60
hkl 1 0 2, 2θ = 34.4°, d 2.609, rel. 26
hkl 1 1 -2, 2θ = 36.5°, d 2.461, rel. 65
hkl 1 1 2, 2θ = 40.3°, d 2.236, rel. 53
hkl 0 2 0, 2θ = 41.6°, d 2.169, rel. 24

a = 4.4201 Å, b = 4.3380 Å, c = 7.2630 Å
α = 90.00°, β = 97.89°, γ = 90.00°
Space group Pm (No. 6)
Symmetry-distinct sites (fractional):
Na (0.0000, 0.0000, 0.0000) x1
Na (0.0306, 0.0000, 0.5071) x1
B (0.5730, 0.0000, 0.2191) x1
B (0.9839, 0.5000, 0.7450) x1
H (0.1372, 0.5000, 0.8995) x1
H (0.1627, 0.5000, 0.6286) x1
H (0.3341, 0.0000, 0.2872) x1
H (0.5122, 0.0000, 0.0489) x1
H (0.7165, 0.2355, 0.2659) x2
H (0.8136, 0.2757, 0.7255) x2

# 4
Starting from a PBE-relaxed structure, the powder diffractogram of NaB2H4 was computed for Cu Kα X-rays.

Principal peaks in the range 2θ = 10–80°, low angle first:
hkl 1 0 1, 2θ = 27.5°, d 3.243, rel. 95
hkl 2 0 0, 2θ = 32.3°, d 2.770, rel. 100
hkl 1 2 1, 2θ = 42.9°, d 2.106, rel. 70
hkl 2 2 0, 2θ = 46.4°, d 1.959, rel. 28
hkl 1 1 2, 2θ = 51.3°, d 1.781, rel. 38
hkl 3 0 1, 2θ = 54.7°, d 1.677, rel. 11
hkl 3 2 1, 2θ = 65.0°, d 1.434, rel. 14
hkl 3 1 2, 2θ = 71.6°, d 1.318, rel. 29
hkl 1 4 1, 2θ = 74.5°, d 1.274, rel. 10
hkl 2 4 0, 2θ = 77.0°, d 1.239, rel. 11

a = 5.5405 Å, b = 5.5405 Å, c = 4.0003 Å
α = 90.00°, β = 90.00°, γ = 90.00°
Space group I4/m (No. 87)
Symmetry-distinct sites (fractional):
Na (0.0000, 0.0000, 0.0000) x2
B (0.0000, 0.5000, 0.2500) x4
H (0.0708, 0.6596, 0.5000) x8